The following is a computed powder X-ray diffraction pattern of Nd2Pu5Os3. It was derived from a cell relaxed with GGA-PBE, using Cu Kα, 1.54184 Å.

Largest 10 diffraction maxima, by intensity, 15° ≤ 2θ ≤ 90°:
2θ/deg, Rel. int.
33.17, 100
36.47, 59
32.27, 48
44.08, 29
41.30, 28
35.16, 23
35.85, 19
37.31, 16
63.55, 16
63.29, 14

Structural model:
Cell lengths 13.652, 13.652, 6.924 Å; angles 90.00, 90.00, 159.21 degrees
Element x y z (fractional)
Nd: 0.018 0.982 0.500
Nd: 0.326 0.674 0.502
Nd: 0.674 0.326 0.002
Nd: 0.982 0.018 0.000
Pu: 0.110 0.890 0.170
Pu: 0.198 0.802 0.300
Pu: 0.205 0.795 0.740
Pu: 0.375 0.625 0.004
Pu: 0.448 0.552 0.336
Pu: 0.552 0.448 0.836
Pu: 0.625 0.375 0.504
Pu: 0.795 0.205 0.240
Pu: 0.802 0.198 0.800
Pu: 0.890 0.110 0.670
Os: 0.104 0.896 0.760
Os: 0.276 0.724 0.024
Os: 0.447 0.553 0.733
Os: 0.553 0.447 0.233
Os: 0.724 0.276 0.524
Os: 0.896 0.104 0.260

---

The following is a computed powder X-ray diffraction pattern of Ac2Pm5Dy3. It was derived from a cell relaxed with GGA-PBE, using Cu Kα, 1.54184 Å.

Largest 10 diffraction maxima, by intensity, 15° ≤ 2θ ≤ 90°:
2θ/deg, Rel. int.
30.19, 100
31.82, 52
30.31, 52
26.90, 42
63.15, 27
53.77, 20
54.79, 20
21.37, 16
35.80, 15
53.97, 14

Structural model:
Cell lengths 9.077, 9.077, 10.201 Å; angles 100.70, 100.70, 111.70 degrees
Element x y z (fractional)
Ac: 0.140 0.360 0.001
Ac: 0.360 0.140 0.501
Ac: 0.640 0.860 0.499
Ac: 0.860 0.640 0.999
Pm: 0.029 0.280 0.596
Pm: 0.035 0.965 0.750
Pm: 0.251 0.749 0.750
Pm: 0.280 0.029 0.096
Pm: 0.470 0.530 0.750
Pm: 0.530 0.470 0.250
Pm: 0.720 0.971 0.904
Pm: 0.749 0.251 0.250
Pm: 0.965 0.035 0.250
Pm: 0.971 0.720 0.404
Dy: 0.221 0.466 0.407
Dy: 0.255 0.745 0.250
Dy: 0.466 0.221 0.907
Dy: 0.534 0.779 0.093
Dy: 0.745 0.255 0.750
Dy: 0.779 0.534 0.593